# 1
This entry pairs a crystal structure of NdAl5Ag7 with its simulated powder XRD pattern. Radiation: Cu Ka. Structure: a crystal structure in OQMD, relaxed with GGA-PBE.
Lines closer than 0.1° are merged.

Top 12 peaks for 2θ from 10° to 90°, most intense first:
two_theta	Rel. int.
33.2	100
38.7	66
38.5	63
38.8	27
43.3	25
39.0	19
69.6	18
19.2	18
43.4	17
59.3	16
62.8	14
27.1	14

Cell and atoms:
Lattice parameters (Å, degrees): 10.6804 9.3510 5.4026 90.00 120.07 90.00
Space group Cm (No. 8)
Unique sites:
Nd: 0.0000 0.0000 0.0000 x2
Al: 0.2247 0.0000 0.7228 x2
Al: 0.2518 0.2537 0.0032 x4
Al: 0.2520 0.2543 0.5000 x4
Ag: 0.0063 0.2084 0.5058 x4
Ag: 0.1526 0.5000 0.6543 x2
Ag: 0.2780 0.5000 0.2785 x2
Ag: 0.3375 0.0000 0.3344 x2
Ag: 0.4946 0.1544 0.9937 x4

# 2
This entry pairs a crystal structure of HoTm2In3Co2Cu with its simulated powder XRD pattern. Radiation: Cu Ka. Structure: a crystal structure in OQMD, relaxed with GGA-PBE.
Lines closer than 0.1° are merged.

Top 12 peaks for 2θ from 10° to 90°, most intense first:
two_theta	Rel. int.
33.8	100
36.7	74
37.4	49
68.9	24
57.5	23
42.7	23
61.9	22
47.4	20
51.9	16
65.6	12
72.9	11
79.3	11

Cell and atoms:
Lattice parameters (Å, degrees): 3.8375 12.7208 7.3346 90.00 90.00 90.00
Space group Amm2 (No. 38)
Unique sites:
Ho: 0.0000 0.0000 0.0000 x2
Tm: 0.0000 0.2061 0.6189 x4
In: 0.5000 0.0000 0.6715 x2
In: 0.5000 0.1302 0.2835 x4
Co: 0.5000 0.1672 0.9126 x4
Cu: 0.0000 0.0000 0.4134 x2

# 3
This entry pairs a crystal structure of TmHIBr with its simulated powder XRD pattern. Radiation: Cu Ka. Structure: a crystal structure in OQMD, relaxed with GGA-PBE.
Lines closer than 0.1° are merged.

Top 12 peaks for 2θ from 10° to 90°, most intense first:
two_theta	Rel. int.
35.1	100
11.1	95
29.0	68
27.3	43
47.1	42
31.7	33
67.7	27
48.5	25
60.1	21
43.6	20
79.6	19
39.1	15

Cell and atoms:
Lattice parameters (Å, degrees): 3.8598 3.8598 15.8797 90.00 90.00 120.00
Space group P-3m1 (No. 164)
Unique sites:
Tm: 0.0000 0.0000 0.2447 x2
H: 0.3333 0.6667 0.2476 x2
I: 0.3333 0.6667 0.6213 x2
Br: 0.3333 0.6667 0.8726 x2

# 4
This entry pairs a crystal structure of ZnIr9 with its simulated powder XRD pattern. Radiation: Cu Ka. Structure: a crystal structure in OQMD, relaxed with GGA-PBE.
Lines closer than 0.1° are merged.

Top 12 peaks for 2θ from 10° to 90°, most intense first:
two_theta	Rel. int.
40.4	100
40.7	70
47.3	45
47.1	33
38.9	30
68.9	28
45.6	19
83.0	18
83.7	15
82.9	13
67.6	12
87.4	12

Cell and atoms:
Lattice parameters (Å, degrees): 2.7343 3.8614 40.5404 90.00 90.00 90.00
Space group Pmmn (No. 59, origin choice 2)
Unique sites:
Zn: 0.2500 0.2500 0.1814 x2
Ir: 0.2500 0.2500 0.2469 x2
Ir: 0.2500 0.2500 0.3146 x2
Ir: 0.2500 0.2500 0.3815 x2
Ir: 0.2500 0.2500 0.4493 x2
Ir: 0.2500 0.2500 0.5170 x2
Ir: 0.2500 0.2500 0.5845 x2
Ir: 0.2500 0.2500 0.6520 x2
Ir: 0.2500 0.2500 0.7198 x2
Ir: 0.2500 0.2500 0.7876 x2

# 5
This entry pairs a crystal structure of BaPrB4 with its simulated powder XRD pattern. Radiation: Cu Ka. Structure: a crystal structure in OQMD, relaxed with GGA-PBE.
Lines closer than 0.1° are merged.

Top 12 peaks for 2θ from 10° to 90°, most intense first:
two_theta	Rel. int.
31.4	100
37.7	99
30.3	85
21.9	73
22.3	70
44.5	51
50.1	40
54.9	32
64.8	21
67.6	21
65.6	20
70.0	17

Cell and atoms:
Lattice parameters (Å, degrees): 3.1713 7.9692 8.1306 90.00 90.00 90.00
Space group Immm (No. 71)
Unique sites:
Ba: 0.0000 0.0000 0.0000 x2
Pr: 0.0000 0.0000 0.5000 x2
B: 0.0000 0.2662 0.2485 x8

# 6
This entry pairs a crystal structure of Li6Zr4O11 with its simulated powder XRD pattern. Radiation: Cu Ka. Structure: a crystal structure in OQMD, relaxed with GGA-PBE.
Lines closer than 0.1° are merged.

Top 12 peaks for 2θ from 10° to 90°, most intense first:
two_theta	Rel. int.
18.2	100
20.2	53
21.8	39
34.1	32
40.3	32
18.6	29
42.7	29
39.7	25
32.3	24
19.2	19
21.5	18
32.5	18

Cell and atoms:
Lattice parameters (Å, degrees): 5.3136 5.4123 9.4984 82.07 77.47 77.54
Space group P1 (No. 1)
Unique sites:
Li: 0.0000 0.0000 0.0000 x1
Li: 0.0109 0.4538 0.0933 x1
Li: 0.3319 0.3227 0.7464 x1
Li: 0.5712 0.9130 0.5593 x1
Li: 0.6983 0.4866 0.3951 x1
Li: 0.8143 0.9845 0.2881 x1
Zr: 0.2428 0.1982 0.3500 x1
Zr: 0.3890 0.7103 0.1865 x1
Zr: 0.6589 0.6562 0.8673 x1
Zr: 0.8843 0.2247 0.6595 x1
O: 0.0525 0.5648 0.2889 x1
O: 0.1464 0.0726 0.1675 x1
O: 0.2708 0.2177 0.5677 x1
O: 0.3082 0.6324 0.9810 x1
O: 0.4917 0.8375 0.3592 x1
O: 0.5743 0.3447 0.2472 x1
O: 0.6255 0.0064 0.7623 x1
O: 0.6253 0.5502 0.6574 x1
O: 0.7458 0.7684 0.0429 x1
O: 0.8678 0.1170 0.4641 x1
O: 0.9595 0.3272 0.8553 x1

# 7
This entry pairs a crystal structure of Ta2Ni3S8 with its simulated powder XRD pattern. Radiation: Cu Ka. Structure: a crystal structure in OQMD, relaxed with GGA-PBE.
Lines closer than 0.1° are merged.

Top 12 peaks for 2θ from 10° to 90°, most intense first:
two_theta	Rel. int.
15.3	100
10.7	31
30.9	28
37.0	27
48.0	18
17.5	17
32.1	17
38.4	14
25.8	13
32.7	11
45.4	10
55.0	10

Cell and atoms:
Lattice parameters (Å, degrees): 10.1248 14.1600 3.3416 90.00 90.00 90.00
Space group Pbam (No. 55)
Unique sites:
Ta: 0.2019 0.1186 0.0000 x4
Ni: 0.0000 0.0000 0.5000 x2
Ni: 0.1298 0.7252 0.5000 x4
S: 0.0275 0.1552 0.5000 x4
S: 0.0586 0.6316 0.0000 x4
S: 0.2188 0.9914 0.5000 x4
S: 0.2482 0.2857 0.0000 x4

# 8
This entry pairs a crystal structure of Y4ZnGeC2 with its simulated powder XRD pattern. Radiation: Cu Ka. Structure: a crystal structure in OQMD, relaxed with GGA-PBE.
Lines closer than 0.1° are merged.

Top 12 peaks for 2θ from 10° to 90°, most intense first:
two_theta	Rel. int.
33.9	100
50.3	23
28.4	23
63.8	18
62.0	17
36.6	15
47.0	14
83.8	14
64.2	13
85.7	6
71.2	4
58.7	3

Cell and atoms:
Lattice parameters (Å, degrees): 3.6298 3.6298 14.7246 90.00 90.00 120.00
Space group P-6m2 (No. 187)
Unique sites:
Y: 0.0000 0.0000 0.1561 x2
Y: 0.3333 0.6667 0.3399 x2
Zn: 0.0000 0.0000 0.5000 x1
Ge: 0.3333 0.6667 0.0000 x1
C: 0.6667 0.3333 0.2510 x2

# 9
This entry pairs a crystal structure of Mg2CoCu4Ni with its simulated powder XRD pattern. Radiation: Cu Ka. Structure: a crystal structure in OQMD, relaxed with GGA-PBE.
Lines closer than 0.1° are merged.

Top 12 peaks for 2θ from 10° to 90°, most intense first:
two_theta	Rel. int.
43.7	100
80.3	19
63.5	10
80.4	10
26.4	7
30.5	6
63.7	5
51.8	3
54.3	2
72.1	1
70.0	1
86.3	1

Cell and atoms:
Lattice parameters (Å, degrees): 4.1431 4.1431 5.8469 90.00 90.00 90.00
Space group P4/mmm (No. 123)
Unique sites:
Mg: 0.0000 0.0000 0.0000 x1
Mg: 0.5000 0.5000 0.5000 x1
Co: 0.0000 0.0000 0.5000 x1
Cu: 0.0000 0.5000 0.2522 x4
Ni: 0.5000 0.5000 0.0000 x1

# 10
This entry pairs a crystal structure of Dy2CdGe4O12 with its simulated powder XRD pattern. Radiation: Cu Ka. Structure: a crystal structure in OQMD, relaxed with GGA-PBE.
Lines closer than 0.1° are merged.

Top 12 peaks for 2θ from 10° to 90°, most intense first:
two_theta	Rel. int.
28.5	100
30.9	74
29.6	60
24.4	58
36.5	44
34.2	40
33.6	32
21.2	28
12.1	27
49.8	22
52.0	21
36.2	21

Cell and atoms:
Lattice parameters (Å, degrees): 5.0442 7.1493 7.9572 67.47 88.46 80.08
Space group P-1 (No. 2)
Unique sites:
Dy: 0.0454 0.2663 0.4602 x2
Cd: 0.0000 0.5000 0.0000 x1
Ge: 0.4166 0.8817 0.7889 x2
Ge: 0.4561 0.6613 0.2243 x2
O: 0.2049 0.9288 0.6041 x2
O: 0.2127 0.5723 0.3808 x2
O: 0.2628 0.2481 0.2142 x2
O: 0.2724 0.7862 0.0073 x2
O: 0.2733 0.5247 0.7753 x2
O: 0.4010 0.1575 0.7201 x2

# 11
This entry pairs a crystal structure of KLiNb2S4 with its simulated powder XRD pattern. Radiation: Cu Ka. Structure: a crystal structure in OQMD, relaxed with GGA-PBE.
Lines closer than 0.1° are merged.

Top 12 peaks for 2θ from 10° to 90°, most intense first:
two_theta	Rel. int.
10.7	100
30.6	38
40.8	28
44.8	24
34.3	24
53.4	18
37.2	16
32.0	11
16.1	11
21.5	9
54.6	9
85.9	8

Cell and atoms:
Lattice parameters (Å, degrees): 3.4325 3.4325 16.5545 90.00 90.00 120.00
Space group P-3m1 (No. 164)
Unique sites:
K: 0.0000 0.0000 0.0000 x1
Li: 0.0000 0.0000 0.5000 x1
Nb: 0.3333 0.6667 0.2704 x2
S: 0.0000 0.0000 0.1776 x2
S: 0.0000 0.0000 0.3636 x2

# 12
This entry pairs a crystal structure of Pr2GdCd3Ag3 with its simulated powder XRD pattern. Radiation: Cu Ka. Structure: a crystal structure in OQMD, relaxed with GGA-PBE.
Lines closer than 0.1° are merged.

Top 12 peaks for 2θ from 10° to 90°, most intense first:
two_theta	Rel. int.
34.2	100
31.6	95
39.1	40
63.0	31
34.3	29
41.2	24
45.1	23
61.1	21
57.8	19
52.9	15
47.4	12
72.2	12

Cell and atoms:
Lattice parameters (Å, degrees): 4.0243 13.8204 7.9934 90.00 90.00 90.00
Space group Amm2 (No. 38)
Unique sites:
Pr: 0.0000 0.2028 0.0000 x4
Gd: 0.0000 0.0000 0.3914 x2
Cd: 0.5000 0.0000 0.0589 x2
Cd: 0.5000 0.1284 0.6658 x4
Ag: 0.0000 0.0000 0.7949 x2
Ag: 0.5000 0.1634 0.2990 x4

What did the ninth record say?
This entry pairs a crystal structure of Mg2CoCu4Ni with its simulated powder XRD pattern. Radiation: Cu Ka. Structure: a crystal structure in OQMD, relaxed with GGA-PBE.
Lines closer than 0.1° are merged.

Top 12 peaks for 2θ from 10° to 90°, most intense first:
two_theta	Rel. int.
43.7	100
80.3	19
63.5	10
80.4	10
26.4	7
30.5	6
63.7	5
51.8	3
54.3	2
72.1	1
70.0	1
86.3	1

Cell and atoms:
Lattice parameters (Å, degrees): 4.1431 4.1431 5.8469 90.00 90.00 90.00
Space group P4/mmm (No. 123)
Unique sites:
Mg: 0.0000 0.0000 0.0000 x1
Mg: 0.5000 0.5000 0.5000 x1
Co: 0.0000 0.0000 0.5000 x1
Cu: 0.0000 0.5000 0.2522 x4
Ni: 0.5000 0.5000 0.0000 x1